Entry 1:
Diffraction record for AgGeAu2. The XRD peak list is simulated, not measured: it uses a DFT-relaxed cell (GGA-PBE, Alexandria) and Cu Kα.
Neutral-atom scattering factors, no anomalous dispersion.

Atomic structure:
```
data_AgGeAu2
_symmetry_space_group_name_H-M 'I m m m'
_symmetry_Int_Tables_number 71
_symmetry_space_group_name_Hall '-I 2 2'
_cell_length_a 2.862
_cell_length_b 4.844
_cell_length_c 11.189
_cell_angle_alpha 90.00
_cell_angle_beta 90.00
_cell_angle_gamma 90.00
loop_
_atom_site_label
_atom_site_type_symbol
_atom_site_fract_x
_atom_site_fract_y
_atom_site_fract_z
Ag1 Ag 0.000 0.000 0.000
Ge1 Ge 0.000 0.000 0.500
Au1 Au 0.000 0.000 0.260
```

Main lines, sorted by position (10 to 90 degrees two-theta):
2θ/deg, intensity, index
15.84, 43, 0 0 2
31.99, 68, 0 0 4
36.46, 100, 1 1 0
37.12, 48, 0 2 0
39.98, 20, 1 1 2
49.28, 81, 1 1 4
49.80, 39, 0 2 4
75.70, 23, 1 3 4


Entry 2:
Diffraction record for Fe2Cu3Ni3. The XRD peak list is simulated, not measured: it uses a DFT-relaxed cell (GGA-PBE, Alexandria) and Cu Kα.
Neutral-atom scattering factors, no anomalous dispersion.

Atomic structure:
```
data_Fe2Cu3Ni3
_symmetry_space_group_name_H-M 'R 3 2'
_symmetry_Int_Tables_number 155
_symmetry_space_group_name_Hall 'R 3 2"'
_cell_length_a 6.4944
_cell_length_b 6.4944
_cell_length_c 7.7376
_cell_angle_alpha 90.00
_cell_angle_beta 90.00
_cell_angle_gamma 120.00
loop_
_atom_site_label
_atom_site_type_symbol
_atom_site_fract_x
_atom_site_fract_y
_atom_site_fract_z
Fe1 Fe 0.0000 0.0000 0.2413
Cu1 Cu 0.0000 0.7473 0.5000
Ni1 Ni 0.0000 0.2611 0.0000
```

Main lines, sorted by position (10 to 90 degrees two-theta):
2θ/deg, intensity, index
39.62, 58, 2 0 2
44.18, 87, 2 1 1
44.88, 100, 1 1 3
48.56, 40, 3 0 0
48.89, 56, 1 2 2
49.85, 26, 1 0 4
74.56, 19, 3 2 1
85.35, 22, 4 0 4


Entry 3:
Diffraction record for Li4Np3Se8. The XRD peak list is simulated, not measured: it uses a DFT-relaxed cell (GGA-PBE, Alexandria) and Cu Kα.
Neutral-atom scattering factors, no anomalous dispersion.

Atomic structure:
```
data_Li4Np3Se8
_symmetry_space_group_name_H-M 'R -3 m'
_symmetry_Int_Tables_number 166
_symmetry_space_group_name_Hall '-R 3 2"'
_cell_length_a 8.1523
_cell_length_b 8.1523
_cell_length_c 20.4867
_cell_angle_alpha 90.00
_cell_angle_beta 90.00
_cell_angle_gamma 120.00
loop_
_atom_site_label
_atom_site_type_symbol
_atom_site_fract_x
_atom_site_fract_y
_atom_site_fract_z
Li1 Li 0.0000 0.0000 0.0000
Li2 Li 0.0000 0.0000 0.1345
Li3 Li 0.0000 0.0000 0.5000
Np1 Np 0.0000 0.5000 0.0000
Se1 Se 0.0000 0.0000 0.2573
Se2 Se 0.0066 0.5033 0.2564
```

Main lines, sorted by position (10 to 90 degrees two-theta):
2θ/deg, intensity, index
12.96, 82, 0 0 3
13.26, 23, 1 0 1
25.61, 41, 0 2 1
30.76, 100, 0 2 4
40.02, 22, 0 2 7
43.67, 38, 2 0 8
44.45, 38, 2 2 0
46.51, 24, 2 2 3


Entry 4:
Diffraction record for NaAcTb2. The XRD peak list is simulated, not measured: it uses a DFT-relaxed cell (GGA-PBE, Alexandria) and Cu Kα.
Neutral-atom scattering factors, no anomalous dispersion.

Atomic structure:
```
data_NaAcTb2
_symmetry_space_group_name_H-M 'R -3 m'
_symmetry_Int_Tables_number 166
_symmetry_space_group_name_Hall '-R 3 2"'
_cell_length_a 3.6536
_cell_length_b 3.6536
_cell_length_c 39.0149
_cell_angle_alpha 90.00
_cell_angle_beta 90.00
_cell_angle_gamma 120.00
loop_
_atom_site_label
_atom_site_type_symbol
_atom_site_fract_x
_atom_site_fract_y
_atom_site_fract_z
Na1 Na 0.0000 0.0000 0.0000
Ac1 Ac 0.0000 0.0000 0.5000
Tb1 Tb 0.0000 0.0000 0.0909
```

Main lines, sorted by position (10 to 90 degrees two-theta):
2θ/deg, intensity, index
27.43, 46, 0 0 12
28.58, 67, 0 1 2
30.49, 100, 0 1 5
32.54, 55, 1 0 7
36.56, 65, 1 0 10
49.03, 28, 0 1 17
49.92, 33, 1 1 0
57.90, 35, 1 1 12


Entry 5:
Diffraction record for NdCuAg. The XRD peak list is simulated, not measured: it uses a DFT-relaxed cell (GGA-PBE, Alexandria) and Cu Kα.
Neutral-atom scattering factors, no anomalous dispersion.

Atomic structure:
```
data_NdCuAg
_symmetry_space_group_name_H-M 'P -6 m 2'
_symmetry_Int_Tables_number 187
_symmetry_space_group_name_Hall 'P -6 2'
_cell_length_a 4.5979
_cell_length_b 4.5979
_cell_length_c 3.6072
_cell_angle_alpha 90.00
_cell_angle_beta 90.00
_cell_angle_gamma 120.00
loop_
_atom_site_label
_atom_site_type_symbol
_atom_site_fract_x
_atom_site_fract_y
_atom_site_fract_z
Nd1 Nd 0.0000 0.0000 0.0000
Cu1 Cu 0.6667 0.3333 0.5000
Ag1 Ag 0.3333 0.6667 0.5000
```

Main lines, sorted by position (10 to 90 degrees two-theta):
2θ/deg, intensity, index
22.33, 10, 1 0 0
33.52, 100, 1 0 1
39.19, 61, 1 1 0
50.61, 9, 0 0 2
52.50, 27, 2 0 1
65.81, 25, 1 1 2
67.43, 25, 2 1 1
71.02, 10, 3 0 0


Entry 6:
Diffraction record for TlPdICl6. The XRD peak list is simulated, not measured: it uses a DFT-relaxed cell (GGA-PBE, Alexandria) and Cu Kα.
Neutral-atom scattering factors, no anomalous dispersion.

Atomic structure:
```
data_TlPdICl6
_symmetry_space_group_name_H-M 'P 1'
_symmetry_Int_Tables_number 1
_symmetry_space_group_name_Hall 'P 1'
_cell_length_a 5.349
_cell_length_b 7.465
_cell_length_c 8.410
_cell_angle_alpha 89.24
_cell_angle_beta 84.04
_cell_angle_gamma 83.02
loop_
_atom_site_label
_atom_site_type_symbol
_atom_site_fract_x
_atom_site_fract_y
_atom_site_fract_z
Tl1 Tl 0.000 0.000 0.000
Pd1 Pd 0.691 0.207 0.647
I1 I 0.692 0.555 0.326
Cl1 Cl 0.450 0.851 0.296
Cl2 Cl 0.475 0.497 0.617
Cl3 Cl 0.489 0.191 0.902
Cl4 Cl 0.896 0.921 0.671
Cl5 Cl 0.918 0.231 0.395
Cl6 Cl 0.948 0.544 0.065
```

Main lines, sorted by position (10 to 90 degrees two-theta):
2θ/deg, intensity, index
15.98, 100, 0 1 1
16.79, 41, 1 0 0
18.93, 34, 1 0 1
19.43, 35, 1 1 0
27.64, 42, 1 1 2
32.10, 31, 0 0 3
32.37, 35, 1 -2 1
38.01, 30, 1 0 -3